[1]
Starting from a PBE-relaxed structure, the X-ray diffraction stick pattern of La3Ho2Sn3 was computed for copper Kα.
Neutral-atom scattering factors, no anomalous dispersion.

Top 10 peaks for 10° ≤ 2θ ≤ 80°, low angle first:
2θ (°)  I_rel
26.55  14
28.80  19
29.29  36
32.24  100
32.89  93
33.32  50
47.52  22
50.59  28
52.97  15
64.03  18

Structure:
```
La3Ho2Sn3
1.0
9.315 0.000 0.000
-4.658 8.067 0.000
0.000 0.000 6.714
La Ho Sn
6 4 6
direct
0.000 0.246 0.250
0.000 0.754 0.750
0.246 0.000 0.250
0.246 0.246 0.750
0.754 0.000 0.750
0.754 0.754 0.250
0.333 0.667 0.000
0.333 0.667 0.500
0.667 0.333 0.000
0.667 0.333 0.500
0.000 0.398 0.750
0.000 0.602 0.250
0.398 0.000 0.750
0.398 0.398 0.250
0.602 0.000 0.250
0.602 0.602 0.750
```



[2]
Starting from a PBE-relaxed structure, the X-ray diffraction stick pattern of La2HoSn was computed for copper Kα.
Neutral-atom scattering factors, no anomalous dispersion.

Top 10 peaks for 10° ≤ 2θ ≤ 80°, low angle first:
2θ (°)  I_rel
29.44  81
30.02  28
31.79  36
32.94  84
34.14  100
52.58  37
53.66  28
59.15  17
61.70  15
62.39  19

Structure:
```
La2HoSn
1.0
-3.416 4.494 4.114
3.416 -4.494 4.114
3.416 4.494 -4.114
La Ho Sn
4 2 2
direct
0.297 0.000 0.797
0.297 0.500 0.297
0.703 0.000 0.203
0.703 0.500 0.703
0.182 0.432 0.750
0.818 0.568 0.250
0.202 0.952 0.250
0.798 0.048 0.750
```



[3]
Starting from a PBE-relaxed structure, the X-ray diffraction stick pattern of La5HoSn3 was computed for copper Kα.
Neutral-atom scattering factors, no anomalous dispersion.

Top 10 peaks for 10° ≤ 2θ ≤ 80°, low angle first:
2θ (°)  I_rel
25.94  4
31.73  100
31.85  92
41.43  8
45.58  34
53.34  8
56.57  56
63.41  28
66.29  12
75.43  15

Structure:
```
La5HoSn3
1.0
9.768 0.000 0.000
-4.884 8.460 0.000
0.000 0.000 6.870
La Ho Sn
10 2 6
direct
0.000 0.331 0.250
0.000 0.669 0.750
0.331 0.000 0.250
0.331 0.331 0.750
0.333 0.667 0.000
0.333 0.667 0.500
0.667 0.333 0.000
0.667 0.333 0.500
0.669 0.000 0.750
0.669 0.669 0.250
0.000 0.000 0.000
0.000 0.000 0.500
0.000 0.332 0.750
0.000 0.668 0.250
0.332 0.000 0.750
0.332 0.332 0.250
0.668 0.000 0.250
0.668 0.668 0.750
```



[4]
Starting from a PBE-relaxed structure, the X-ray diffraction stick pattern of LaHoZnSn was computed for copper Kα.
Neutral-atom scattering factors, no anomalous dispersion.

Top 10 peaks for 10° ≤ 2θ ≤ 80°, low angle first:
2θ (°)  I_rel
20.46  3
23.67  6
33.72  100
39.76  2
41.61  2
48.43  18
54.59  2
60.31  38
70.91  12
75.94  1

Structure:
```
LaHoZnSn
1.0
0.000 3.759 3.759
3.759 0.000 3.759
3.759 3.759 0.000
La Ho Zn Sn
1 1 1 1
direct
0.000 0.000 0.000
0.500 0.500 0.500
0.250 0.250 0.250
0.750 0.750 0.750
```